Diffraction record for NaNi5P4. The X-ray diffraction stick pattern is simulated, not measured: it uses a DFT-relaxed cell (PBE, Alexandria) and CuKα.

Atomic structure:
Unit cell a=6.5461 b=11.1826 c=3.8401 alpha=90.00 beta=90.00 gamma=90.00
Element x y z (fractional)
Na (0.2500, 0.2500, 0.0485)
Na (0.7500, 0.7500, 0.9515)
Ni (0.0603, 0.5644, 0.2520)
Ni (0.0603, 0.9356, 0.2520)
Ni (0.2500, 0.7500, 0.9750)
Ni (0.4397, 0.5644, 0.2520)
Ni (0.4397, 0.9356, 0.2520)
Ni (0.5603, 0.0644, 0.7480)
Ni (0.5603, 0.4356, 0.7480)
Ni (0.7500, 0.2500, 0.0250)
Ni (0.9397, 0.0644, 0.7480)
Ni (0.9397, 0.4356, 0.7480)
P (0.0703, 0.7500, 0.4706)
P (0.2500, 0.5146, 0.7618)
P (0.2500, 0.9854, 0.7618)
P (0.4297, 0.7500, 0.4706)
P (0.5703, 0.2500, 0.5294)
P (0.7500, 0.0146, 0.2382)
P (0.7500, 0.4854, 0.2382)
P (0.9297, 0.2500, 0.5294)

Largest 10 diffraction maxima, sorted by position, 5° ≤ 2θ ≤ 70°:
15.7 deg, I = 100; 15.9 deg, I = 30; 24.5 deg, I = 22; 32.0 deg, I = 26; 33.5 deg, I = 65; 43.7 deg, I = 32; 48.0 deg, I = 40; 50.2 deg, I = 51; 50.8 deg, I = 30; 55.2 deg, I = 26

***

Diffraction record for Na6NiP2. The X-ray diffraction stick pattern is simulated, not measured: it uses a DFT-relaxed cell (PBE, Alexandria) and CuKα.

Atomic structure:
Unit cell a=9.3446 b=9.3446 c=9.3446 alpha=31.10 beta=31.10 gamma=31.10
Element x y z (fractional)
Na (0.0802, 0.0802, 0.0802)
Na (0.1985, 0.1985, 0.1985)
Na (0.3098, 0.3098, 0.3098)
Na (0.6902, 0.6902, 0.6902)
Na (0.8015, 0.8015, 0.8015)
Na (0.9198, 0.9198, 0.9198)
Ni (0.5000, 0.5000, 0.5000)
P (0.4172, 0.4172, 0.4172)
P (0.5828, 0.5828, 0.5828)

Largest 10 diffraction maxima, sorted by position, 5° ≤ 2θ ≤ 70°:
10.0 deg, I = 33; 20.7 deg, I = 37; 21.5 deg, I = 12; 33.9 deg, I = 12; 35.8 deg, I = 100; 39.7 deg, I = 39; 54.5 deg, I = 14; 55.3 deg, I = 11; 64.4 deg, I = 16; 67.0 deg, I = 14

***

Diffraction record for NaNi2P. The X-ray diffraction stick pattern is simulated, not measured: it uses a DFT-relaxed cell (PBE, Alexandria) and CuKα.

Atomic structure:
Unit cell a=3.7188 b=3.7188 c=8.4705 alpha=90.00 beta=90.00 gamma=90.00
Element x y z (fractional)
Na (0.2500, 0.2500, 0.2242)
Na (0.7500, 0.7500, 0.7758)
Ni (0.2500, 0.2500, 0.9108)
Ni (0.2500, 0.7500, 0.5000)
Ni (0.7500, 0.2500, 0.5000)
Ni (0.7500, 0.7500, 0.0892)
P (0.2500, 0.2500, 0.6554)
P (0.7500, 0.7500, 0.3446)

Largest 10 diffraction maxima, sorted by position, 5° ≤ 2θ ≤ 70°:
10.4 deg, I = 26; 21.0 deg, I = 29; 26.2 deg, I = 27; 35.8 deg, I = 100; 40.1 deg, I = 54; 40.4 deg, I = 31; 49.0 deg, I = 58; 49.5 deg, I = 24; 55.7 deg, I = 26; 65.1 deg, I = 23

***

Diffraction record for NaNiP2S8. The X-ray diffraction stick pattern is simulated, not measured: it uses a DFT-relaxed cell (PBE, Alexandria) and CuKα.

Atomic structure:
Unit cell a=5.5676 b=5.5676 c=9.7851 alpha=90.00 beta=90.00 gamma=120.00
Element x y z (fractional)
Na (0.0000, 0.0000, 0.0000)
Ni (0.0000, 0.0000, 0.5000)
P (0.3333, 0.6667, 0.7121)
P (0.6667, 0.3333, 0.2879)
S (0.0260, 0.6929, 0.3526)
S (0.3071, 0.3331, 0.3526)
S (0.3331, 0.0260, 0.6474)
S (0.3333, 0.6667, 0.9158)
S (0.6667, 0.3333, 0.0842)
S (0.6669, 0.9740, 0.3526)
S (0.6929, 0.6669, 0.6474)
S (0.9740, 0.3071, 0.6474)

Largest 10 diffraction maxima, sorted by position, 5° ≤ 2θ ≤ 70°:
9.0 deg, I = 100; 20.5 deg, I = 62; 25.9 deg, I = 39; 27.3 deg, I = 18; 33.5 deg, I = 37; 37.2 deg, I = 44; 38.5 deg, I = 16; 49.6 deg, I = 20; 57.3 deg, I = 26; 57.6 deg, I = 17

***

Please write out number 3 again, unchanged.
Diffraction record for NaNi2P. The X-ray diffraction stick pattern is simulated, not measured: it uses a DFT-relaxed cell (PBE, Alexandria) and CuKα.

Atomic structure:
Unit cell a=3.7188 b=3.7188 c=8.4705 alpha=90.00 beta=90.00 gamma=90.00
Element x y z (fractional)
Na (0.2500, 0.2500, 0.2242)
Na (0.7500, 0.7500, 0.7758)
Ni (0.2500, 0.2500, 0.9108)
Ni (0.2500, 0.7500, 0.5000)
Ni (0.7500, 0.2500, 0.5000)
Ni (0.7500, 0.7500, 0.0892)
P (0.2500, 0.2500, 0.6554)
P (0.7500, 0.7500, 0.3446)

Largest 10 diffraction maxima, sorted by position, 5° ≤ 2θ ≤ 70°:
10.4 deg, I = 26; 21.0 deg, I = 29; 26.2 deg, I = 27; 35.8 deg, I = 100; 40.1 deg, I = 54; 40.4 deg, I = 31; 49.0 deg, I = 58; 49.5 deg, I = 24; 55.7 deg, I = 26; 65.1 deg, I = 23